Structure and calculated X-ray diffraction stick pattern of DyYEr3 (DFT lattice parameters and positions (GGA-PBE); Cu Kα (λ = 1.5418 Å)).
No peak broadening, texture or thermal motion is included.

Most intense lines, 2θ = 10–80°, in order of rising 2θ:
2θ/deg  I (rel.)  hkl
31.1  88  5 1 0
32.0  100  2 4 -1
32.8  90  4 0 -2
36.8  32  5 3 0
43.2  16  3 5 1
47.1  29  7 3 -1
57.4  15  9 1 -2
58.0  18  6 4 -3
62.5  29  8 4 1
63.0  15  10 0 0

Crystal structure
a b c (Å): 15.1700 13.0431 6.4945
angles (deg): 90.00 103.38 90.00
Space group C2/c (No. 15)
Symmetry-distinct sites (fractional):
Dy1 0.0000 0.0776 0.2500
Dy2 0.0000 0.1841 0.7500
Y1 0.1007 0.4232 0.9514
Er1 0.1009 0.3142 0.4503
Er2 0.1996 0.0774 0.6483
Er3 0.2004 0.1843 0.1498